# 1
For Pm14NdTl, a cell relaxed with GGA-PBE gives the theoretical powder diffractogram in this record (Cu Kα (λ = 1.5418 Å)).

Peak list (8 most intense, 2θ from 5° to 70°, by angle)
two_theta, intensity
30.26, 100.0
34.97, 17.0
35.14, 33.6
50.42, 24.1
50.55, 12.0
59.83, 14.4
60.06, 28.6
62.94, 12.4

Crystal structure
Cell: 7.2223 7.2223 10.2633 Å, 90.00 90.00 90.00°
Element x y z (fractional)
Pm: 0.0000 0.0000 0.0000
Pm: 0.0000 0.5000 0.0000
Pm: 0.0000 0.5000 0.5000
Pm: 0.2485 0.2485 0.2532
Pm: 0.2485 0.2485 0.7468
Pm: 0.2485 0.7515 0.2532
Pm: 0.2485 0.7515 0.7468
Pm: 0.5000 0.0000 0.0000
Pm: 0.5000 0.0000 0.5000
Pm: 0.5000 0.5000 0.0000
Pm: 0.7515 0.2485 0.2532
Pm: 0.7515 0.2485 0.7468
Pm: 0.7515 0.7515 0.2532
Pm: 0.7515 0.7515 0.7468
Nd: 0.5000 0.5000 0.5000
Tl: 0.0000 0.0000 0.5000

---

# 2
For Pm2Nd6Tl, a cell relaxed with GGA-PBE gives the theoretical powder diffractogram in this record (Cu Kα (λ = 1.5418 Å)).

Peak list (12 most intense, 2θ from 5° to 70°, by angle)
two_theta, intensity
31.01, 50.7
31.12, 100.0
31.32, 92.8
31.38, 45.0
44.61, 18.0
44.78, 33.7
55.24, 28.7
55.44, 27.0
55.55, 27.9
62.30, 13.8
62.42, 20.5
64.89, 11.8

Crystal structure
Cell: 9.9797 9.9797 3.4818 Å, 90.20 90.20 59.76°
Element x y z (fractional)
Pm: 0.1663 0.1663 0.4994
Pm: 0.8337 0.8337 0.5006
Nd: 0.1726 0.5006 0.0046
Nd: 0.1768 0.8232 0.0000
Nd: 0.4994 0.8274 0.9954
Nd: 0.5006 0.1726 0.0046
Nd: 0.8232 0.1768 0.0000
Nd: 0.8274 0.4994 0.9954
Tl: 0.5000 0.5000 0.5000

---

# 3
For Pm5NdTl2, a cell relaxed with GGA-PBE gives the theoretical powder diffractogram in this record (Cu Kα (λ = 1.5418 Å)).

Peak list (10 most intense, 2θ from 5° to 70°, by angle)
two_theta, intensity
17.85, 1.8
25.35, 1.6
31.18, 100.0
36.16, 50.6
40.60, 1.0
44.67, 0.8
52.06, 35.9
61.87, 14.3
61.98, 28.4
65.02, 12.3

Crystal structure
Cell: 7.0200 14.0472 4.9758 Å, 90.00 90.00 90.00°
Element x y z (fractional)
Pm: 0.0000 0.0000 0.0000
Pm: 0.0011 0.2497 0.0000
Pm: 0.2500 0.1251 0.5000
Pm: 0.2500 0.6251 0.5000
Pm: 0.4989 0.7497 0.0000
Pm: 0.5000 0.5000 0.0000
Pm: 0.5011 0.2503 0.0000
Pm: 0.7500 0.3749 0.5000
Pm: 0.7500 0.8749 0.5000
Pm: 0.9989 0.7503 0.0000
Nd: 0.0000 0.5000 0.0000
Nd: 0.5000 0.0000 0.0000
Tl: 0.2486 0.8744 0.5000
Tl: 0.2514 0.3744 0.5000
Tl: 0.7486 0.6256 0.5000
Tl: 0.7514 0.1256 0.5000

---

# 4
For Pm2Nd3Tl, a cell relaxed with GGA-PBE gives the theoretical powder diffractogram in this record (Cu Kα (λ = 1.5418 Å)).

Peak list (11 most intense, 2θ from 5° to 70°, by angle)
two_theta, intensity
11.33, 1.3
21.10, 0.5
30.57, 100.0
34.46, 18.1
35.93, 32.6
38.46, 0.6
50.63, 24.5
51.73, 11.6
59.33, 15.0
61.29, 27.8
63.64, 12.3

Crystal structure
Cell: 4.9983 15.6172 4.9987 Å, 90.00 90.00 90.00°
Element x y z (fractional)
Pm: 0.0000 0.1624 0.0000
Pm: 0.0000 0.8376 0.0000
Pm: 0.5000 0.3376 0.0000
Pm: 0.5000 0.6624 0.0000
Nd: 0.0000 0.0000 0.5000
Nd: 0.0000 0.3345 0.5000
Nd: 0.0000 0.6655 0.5000
Nd: 0.5000 0.1655 0.5000
Nd: 0.5000 0.5000 0.5000
Nd: 0.5000 0.8345 0.5000
Tl: 0.0000 0.5000 0.0000
Tl: 0.5000 0.0000 0.0000

---

# 5
For PmNd4Tl2, a cell relaxed with GGA-PBE gives the theoretical powder diffractogram in this record (Cu Kα (λ = 1.5418 Å)).

Peak list (12 most intense, 2θ from 5° to 70°, by angle)
two_theta, intensity
13.04, 8.1
31.38, 8.7
31.91, 100.0
32.82, 16.2
34.06, 19.3
36.11, 20.4
40.62, 11.1
50.48, 12.8
55.46, 9.3
59.62, 10.9
62.31, 14.8
66.71, 8.2

Crystal structure
Cell: 8.8845 10.5288 4.9749 Å, 90.00 90.00 90.00°
Element x y z (fractional)
Pm: 0.0000 0.0000 0.0000
Pm: 0.5000 0.5000 0.0000
Nd: 0.2077 0.5000 0.5000
Nd: 0.2500 0.2500 0.0000
Nd: 0.2500 0.7500 0.0000
Nd: 0.2923 0.0000 0.5000
Nd: 0.7077 0.0000 0.5000
Nd: 0.7500 0.2500 0.0000
Nd: 0.7500 0.7500 0.0000
Nd: 0.7923 0.5000 0.5000
Tl: 0.0000 0.2193 0.5000
Tl: 0.0000 0.7807 0.5000
Tl: 0.5000 0.2807 0.5000
Tl: 0.5000 0.7193 0.5000

---

# 6
For PmNd3Tm7, a cell relaxed with GGA-PBE gives the theoretical powder diffractogram in this record (Cu Kα (λ = 1.5418 Å)).

Peak list (12 most intense, 2θ from 5° to 70°, by angle)
two_theta, intensity
25.58, 12.0
31.63, 54.5
31.90, 100.0
32.03, 30.2
32.62, 52.1
32.99, 52.4
35.93, 14.6
46.37, 21.7
52.57, 12.1
57.76, 18.6
58.45, 18.4
63.26, 13.9

Crystal structure
Cell: 6.9636 5.4894 9.9904 Å, 90.00 110.28 90.00°
Element x y z (fractional)
Pm: 0.0000 0.0000 0.0000
Nd: 0.2163 0.5000 0.5008
Nd: 0.5000 0.0000 0.0000
Nd: 0.7837 0.5000 0.4992
Tm: 0.0830 0.0000 0.6699
Tm: 0.1804 0.5000 0.8608
Tm: 0.3543 0.5000 0.2113
Tm: 0.5000 0.0000 0.5000
Tm: 0.6457 0.5000 0.7887
Tm: 0.8196 0.5000 0.1392
Tm: 0.9170 0.0000 0.3301

---

# 7
For Pm8NdTm2, a cell relaxed with GGA-PBE gives the theoretical powder diffractogram in this record (Cu Kα (λ = 1.5418 Å)).

Peak list (12 most intense, 2θ from 5° to 70°, by angle)
two_theta, intensity
24.90, 26.3
27.40, 24.0
28.76, 63.2
29.79, 20.9
30.34, 31.1
31.09, 87.1
33.97, 100.0
34.14, 44.0
34.54, 21.8
35.15, 20.8
54.02, 31.1
63.91, 21.7

Crystal structure
Cell: 7.9106 7.9106 8.6195 Å, 111.87 111.87 50.57°
Element x y z (fractional)
Pm: 0.1091 0.1091 0.9949
Pm: 0.1494 0.6666 0.6148
Pm: 0.2393 0.2393 0.7738
Pm: 0.3334 0.8506 0.3852
Pm: 0.6666 0.1494 0.6148
Pm: 0.7607 0.7607 0.2262
Pm: 0.8506 0.3334 0.3852
Pm: 0.8909 0.8909 0.0051
Nd: 0.5000 0.5000 0.0000
Tm: 0.3558 0.3558 0.2416
Tm: 0.6442 0.6442 0.7584

---

# 8
For Pm12Nd6Tm, a cell relaxed with GGA-PBE gives the theoretical powder diffractogram in this record (Cu Kα (λ = 1.5418 Å)).

Peak list (12 most intense, 2θ from 5° to 70°, by angle)
two_theta, intensity
22.91, 12.5
30.39, 42.7
30.74, 29.9
30.92, 100.0
32.32, 66.9
32.58, 30.4
34.12, 17.9
44.07, 14.2
53.90, 20.3
56.88, 12.2
57.09, 8.9
62.44, 8.8

Crystal structure
Cell: 8.7263 8.7263 8.7263 Å, 89.27 89.27 89.27°
Element x y z (fractional)
Pm: 0.0174 0.1930 0.3590
Pm: 0.1930 0.3590 0.0174
Pm: 0.2209 0.4643 0.5639
Pm: 0.3590 0.0174 0.1930
Pm: 0.4361 0.7791 0.5357
Pm: 0.4643 0.5639 0.2209
Pm: 0.5357 0.4361 0.7791
Pm: 0.5639 0.2209 0.4643
Pm: 0.6410 0.9826 0.8070
Pm: 0.7791 0.5357 0.4361
Pm: 0.8070 0.6410 0.9826
Pm: 0.9826 0.8070 0.6410
Nd: 0.0945 0.6985 0.2622
Nd: 0.2622 0.0945 0.6985
Nd: 0.3015 0.7378 0.9055
Nd: 0.6985 0.2622 0.0945
Nd: 0.7378 0.9055 0.3015
Nd: 0.9055 0.3015 0.7378
Tm: 0.0000 0.0000 0.0000